Calculated powder diffractogram
Compound: Li3V2O4F2
Radiation: Cu Ka
Structure: a PBE+U-relaxed structure

Cell and atoms:
abc: 5.9448 5.9448 8.7388
angles: 118.38 118.38 60.49
Element x y z (fractional)
Li  0.2046  0.7292  0.6245
Li  0.2530  0.2530  0.3604
Li  0.2708  0.7954  0.3755
Li  0.7292  0.2046  0.6245
Li  0.7470  0.7470  0.6396
Li  0.7954  0.2708  0.3755
V  0.2426  0.2426  0.9816
V  0.2539  0.7461  0.0000
V  0.7461  0.2539  0.0000
V  0.7574  0.7574  0.0184
O  0.0037  0.0037  0.8441
O  0.0133  0.5414  0.8636
O  0.4586  0.9867  0.1364
O  0.4828  0.4828  0.1390
O  0.5172  0.5172  0.8610
O  0.5414  0.0133  0.8636
O  0.9867  0.4586  0.1364
O  0.9963  0.9963  0.1559
F  0.0000  0.0000  0.5000
F  0.0000  0.5000  0.5000
F  0.5000  0.0000  0.5000
F  0.5000  0.5000  0.5000

Peak list (10 most intense, 15° ≤ 2θ ≤ 90°, in order of rising 2θ)
two_theta	Rel. int.
24.40	87.5
34.69	48.0
34.98	17.3
37.14	24.9
42.14	50.9
42.38	13.4
43.34	100.0
61.54	22.7
61.98	14.5
62.55	27.2